Starting from a structure optimized by DFT (GGA-PBE), the powder XRD pattern of ReHg3F6 was calculated for CuKα.

Peak list (6 most intense, 2θ = 10–90°, most intense first)
h k l  Position (°2θ)  d (Å)  I/Imax
1 1 2  41.37  2.183  1000
1 1 0  33.87  2.646  705
0 0 2  23.05  3.859  641
0 0 1  11.46  7.718  604
2 -1 1  35.87  2.503  475
2 -1 4  59.27  1.559  368

Crystal structure
Cell lengths 5.293, 5.293, 7.718 Å; angles 90.00, 90.00, 120.00 degrees
Atoms (fractional coordinates):
Re 0.000 0.000 0.000
Hg 0.000 0.000 0.500
Hg 0.333 0.667 0.500
Hg 0.667 0.333 0.500
F 0.000 0.290 0.851
F 0.000 0.710 0.149
F 0.290 0.000 0.851
F 0.290 0.290 0.149
F 0.710 0.000 0.149
F 0.710 0.710 0.851